No. 1
Simulated powder XRD pattern
Compound: Tb7SbP5
Radiation: Cu Ka
Structure: a structure optimized by DFT (GGA-PBE)

Cell and atoms:
```
data_Tb7SbP5
_cell_length_a 4.070
_cell_length_b 13.298
_cell_length_c 23.912
_cell_angle_alpha 90.00
_cell_angle_beta 90.00
_cell_angle_gamma 90.00
_space_group_name_H-M_alt 'C m c m'
_space_group_IT_number 63
_space_group_name_Hall '-C 2c 2'
loop_
_atom_site_label
_atom_site_fract_x
_atom_site_fract_y
_atom_site_fract_z
_atom_site_occupancy
Tb1 0.000 0.029 0.250 1
Tb2 0.000 0.136 0.534 1
Tb3 0.000 0.326 0.172 1
Tb4 0.000 0.409 0.604 1
Sb1 0.000 0.298 0.750 1
P1 0.000 0.043 0.642 1
P2 0.000 0.228 0.072 1
P3 0.000 0.500 0.000 1
```

Principal peaks in the range 10 to 90 degrees two-theta, low angle first:
h k l	2θ/deg	I (rel.)
1 1 4	27.3	51
0 2 7	29.4	100
1 1 5	29.6	39
1 3 2	30.7	93
1 3 3	31.9	67
2 0 0	44.5	53
1 5 5	44.9	28
0 0 14	53.7	19
2 2 7	54.3	36
1 3 12	55.4	20

---

No. 2
Simulated powder XRD pattern
Compound: Ag5SeS
Radiation: Cu Ka
Structure: a structure optimized by DFT (GGA-PBE)

Cell and atoms:
```
data_Ag5SeS
_cell_length_a 7.360
_cell_length_b 6.997
_cell_length_c 10.602
_cell_angle_alpha 90.00
_cell_angle_beta 99.20
_cell_angle_gamma 90.00
_space_group_name_H-M_alt 'C 1 2/c 1'
_space_group_IT_number 15
loop_
_space_group_symop_operation_xyz
'x,y,z'
'-x,-y,-z'
'-x,y,-z+1/2'
'x,-y,z+1/2'
'x+1/2,y+1/2,z'
'-x+1/2,-y+1/2,-z'
'-x+1/2,y+1/2,-z+1/2'
'x+1/2,-y+1/2,z+1/2'
loop_
_atom_site_label
_atom_site_fract_x
_atom_site_fract_y
_atom_site_fract_z
_atom_site_occupancy
Ag1 0.000 0.005 0.250 1
Ag2 0.152 0.383 0.570 1
Ag3 0.218 0.298 0.866 1
Se1 0.000 0.408 0.250 1
S1 0.000 0.000 0.000 1
```

Principal peaks in the range 10 to 90 degrees two-theta, low angle first:
h k l	2θ/deg	I (rel.)
1 1 -2	23.1	14
2 0 2	32.2	17
1 1 3	32.8	60
2 2 -1	35.7	86
0 2 3	36.4	45
2 0 -4	39.0	100
3 1 0	39.4	21
1 3 0	40.6	36
1 3 -1	41.1	21
0 2 4	43.2	26

---

No. 3
Simulated powder XRD pattern
Compound: CeS6Br2
Radiation: Cu Ka
Structure: a structure optimized by DFT (GGA-PBE)

Cell and atoms:
```
data_CeS6Br2
_cell_length_a 4.653
_cell_length_b 8.152
_cell_length_c 8.228
_cell_angle_alpha 119.59
_cell_angle_beta 94.90
_cell_angle_gamma 94.33
_space_group_name_H-M_alt 'P -1'
_space_group_IT_number 2
loop_
_space_group_symop_operation_xyz
'x,y,z'
'-x,-y,-z'
loop_
_atom_site_label
_atom_site_fract_x
_atom_site_fract_y
_atom_site_fract_z
_atom_site_occupancy
Ce1 0.000 0.000 0.000 1
S1 0.066 0.441 0.212 1
S2 0.068 0.208 0.437 1
S3 0.316 0.335 0.335 1
Br1 0.498 0.132 0.872 1
```

Principal peaks in the range 10 to 90 degrees two-theta, low angle first:
h k l	2θ/deg	I (rel.)
0 1 -1	12.5	100
0 1 0	12.6	34
0 1 1	21.9	13
1 1 -2	27.9	22
1 -2 1	28.2	22
1 2 -1	30.4	26
0 1 2	33.6	22
0 2 1	33.7	20
1 1 -3	36.9	13
1 -1 3	40.8	13

---

No. 4
Simulated powder XRD pattern
Compound: Li9LaPd2
Radiation: Cu Ka
Structure: a structure optimized by DFT (GGA-PBE)

Cell and atoms:
```
data_Li9LaPd2
_cell_length_a 11.028
_cell_length_b 11.028
_cell_length_c 7.286
_cell_angle_alpha 90.00
_cell_angle_beta 90.00
_cell_angle_gamma 90.00
_space_group_name_H-M_alt 'I 41/a m d'
_space_group_IT_number 141
loop_
_space_group_symop_operation_xyz
'x,y,z'
'-x,-y,-z'
'-y+1/4,x+3/4,z+1/4'
'y+1/4,-x+3/4,-z+1/4'
'-x+1/2,-y,z+1/2'
'x+1/2,y,-z+1/2'
'y+1/4,-x+1/4,z+3/4'
'-y+1/4,x+1/4,-z+3/4'
'x,-y,-z'
'-x,y,z'
'-y+1/4,-x+1/4,-z+3/4'
'y+1/4,x+1/4,z+3/4'
'-x+1/2,y,-z+1/2'
'x+1/2,-y,z+1/2'
'y+1/4,x+3/4,-z+1/4'
'-y+1/4,-x+3/4,z+1/4'
'x+1/2,y+1/2,z+1/2'
'-x+1/2,-y+1/2,-z+1/2'
'-y+3/4,x+1/4,z+3/4'
'y+3/4,-x+1/4,-z+3/4'
'-x,-y+1/2,z'
'x,y+1/2,-z'
'y+3/4,-x+3/4,z+1/4'
'-y+3/4,x+3/4,-z+1/4'
'x+1/2,-y+1/2,-z+1/2'
'-x+1/2,y+1/2,z+1/2'
'-y+3/4,-x+3/4,-z+1/4'
'y+3/4,x+3/4,z+1/4'
'-x,y+1/2,-z'
'x,-y+1/2,z'
'y+3/4,x+1/4,-z+3/4'
'-y+3/4,-x+1/4,z+3/4'
loop_
_atom_site_label
_atom_site_fract_x
_atom_site_fract_y
_atom_site_fract_z
_atom_site_occupancy
Li1 0.000 0.250 0.375 1
Li2 0.122 0.050 0.198 1
La1 0.000 0.250 0.875 1
Pd1 0.000 0.000 0.500 1
```

Principal peaks in the range 10 to 90 degrees two-theta, low angle first:
h k l	2θ/deg	I (rel.)
2 0 0	16.1	20
2 1 1	21.8	100
1 1 2	27.0	14
2 0 2	29.4	25
3 2 1	31.7	42
4 0 0	32.5	28
3 1 2	35.6	17
1 0 3	37.9	14
4 2 2	44.4	20
5 2 1	46.0	15

---

No. 5
Simulated powder XRD pattern
Compound: La2ScSe4
Radiation: Cu Ka
Structure: a structure optimized by DFT (GGA-PBE)

Cell and atoms:
```
data_La2ScSe4
_cell_length_a 7.255
_cell_length_b 6.978
_cell_length_c 8.269
_cell_angle_alpha 90.00
_cell_angle_beta 106.64
_cell_angle_gamma 90.00
_space_group_name_H-M_alt 'P 1 21/m 1'
_space_group_IT_number 11
loop_
_space_group_symop_operation_xyz
'x,y,z'
'-x,-y,-z'
'-x,y+1/2,-z'
'x,-y+1/2,z'
loop_
_atom_site_label
_atom_site_fract_x
_atom_site_fract_y
_atom_site_fract_z
_atom_site_occupancy
La1 0.214 0.250 0.056 1
La2 0.227 0.250 0.554 1
Sc1 0.262 0.750 0.815 1
Se1 0.006 0.507 0.254 1
Se2 0.458 0.750 0.610 1
Se3 0.464 0.750 0.120 1
```

Principal peaks in the range 10 to 90 degrees two-theta, low angle first:
h k l	2θ/deg	I (rel.)
1 1 0	18.0	39
0 2 0	25.5	26
1 2 0	28.6	39
1 0 2	28.9	36
1 1 2	31.7	100
0 2 2	34.2	60
2 2 0	36.5	20
1 0 -4	43.8	24
3 2 0	47.1	19
2 3 -2	49.1	29

---

No. 6
Simulated powder XRD pattern
Compound: TlCd2Hg3Pb3
Radiation: Cu Ka
Structure: a structure optimized by DFT (GGA-PBE)

Cell and atoms:
```
data_TlCd2Hg3Pb3
_cell_length_a 9.3604
_cell_length_b 9.3604
_cell_length_c 3.3273
_cell_angle_alpha 90.00
_cell_angle_beta 90.00
_cell_angle_gamma 120.00
_space_group_name_H-M_alt 'P -6 2 m'
_space_group_IT_number 189
_space_group_name_Hall 'P -6 -2'
loop_
_atom_site_label
_atom_site_fract_x
_atom_site_fract_y
_atom_site_fract_z
_atom_site_occupancy
Tl1 0.0000 0.0000 0.0000 1
Cd1 0.3333 0.6667 0.5000 1
Hg1 0.0000 0.3537 0.0000 1
Pb1 0.0000 0.6744 0.5000 1
```

Principal peaks in the range 10 to 90 degrees two-theta, low angle first:
h k l	2θ/deg	I (rel.)
1 1 1	33.0	85
3 0 0	33.2	100
2 0 1	34.9	13
2 1 1	40.0	11
2 2 1	47.5	30
3 3 0	59.2	47
3 0 2	65.9	28
6 0 0	69.6	11
5 2 1	79.2	12
3 3 2	85.3	13